[1]
Li2Cr3NiO8: simulated PXRD pattern (Cu Kα, 1.54184 Å), based on a GGA+U-relaxed structure.

Cell and atoms:
Cell lengths 8.309, 8.336, 8.389 Å; angles 89.89, 89.84, 89.68 degrees
Space group P1 (No. 1)
Asymmetric unit:
Li1 0.000 0.000 0.000
Li2 0.001 0.500 0.498
Li3 0.246 0.250 0.748
Li4 0.251 0.753 0.252
Li5 0.497 0.999 0.500
Li6 0.499 0.499 0.000
Li7 0.745 0.252 0.250
Li8 0.749 0.753 0.750
Cr1 0.120 0.120 0.378
Cr2 0.124 0.371 0.121
Cr3 0.126 0.873 0.630
Cr4 0.372 0.373 0.378
Cr5 0.375 0.875 0.871
Cr6 0.378 0.622 0.628
Cr7 0.618 0.121 0.875
Cr8 0.625 0.875 0.127
Cr9 0.628 0.622 0.372
Cr10 0.866 0.371 0.874
Cr11 0.869 0.122 0.627
Cr12 0.874 0.623 0.117
Ni1 0.124 0.626 0.875
Ni2 0.376 0.125 0.125
Ni3 0.625 0.378 0.623
Ni4 0.872 0.877 0.375
O1 0.104 0.603 0.131
O2 0.105 0.376 0.897
O3 0.108 0.110 0.615
O4 0.125 0.897 0.394
O5 0.133 0.359 0.356
O6 0.136 0.873 0.853
O7 0.143 0.646 0.620
O8 0.144 0.138 0.138
O9 0.354 0.147 0.380
O10 0.362 0.359 0.142
O11 0.363 0.859 0.635
O12 0.370 0.635 0.856
O13 0.375 0.391 0.607
O14 0.389 0.607 0.383
O15 0.390 0.895 0.113
O16 0.396 0.117 0.876
O17 0.605 0.113 0.114
O18 0.606 0.627 0.608
O19 0.608 0.394 0.381
O20 0.618 0.855 0.354
O21 0.618 0.891 0.894
O22 0.640 0.636 0.134
O23 0.641 0.356 0.872
O24 0.645 0.126 0.639
O25 0.853 0.625 0.354
O26 0.854 0.133 0.865
O27 0.854 0.860 0.127
O28 0.873 0.608 0.894
O29 0.882 0.356 0.649
O30 0.885 0.383 0.106
O31 0.889 0.894 0.618
O32 0.893 0.128 0.390

Principal peaks in the range 5 to 70 degrees two-theta, by angle:
2theta	I_rel	h k l
18.40	100	1 1 1
18.46	31	-1 1 1
35.55	21	-1 1 3
35.68	16	3 1 1
35.79	20	3 -1 1
43.13	24	0 0 4
43.43	24	0 4 0
43.57	23	4 0 0
62.84	14	0 4 4
62.97	14	0 4 -4

[2]
Li3CrNi3O8: simulated PXRD pattern (Cu Kα, 1.54184 Å), based on a GGA+U-relaxed structure.

Cell and atoms:
Cell lengths 10.150, 5.763, 5.850 Å; angles 90.00, 124.48, 90.00 degrees
Space group C2/m (No. 12)
Asymmetric unit:
Li1 0.000 0.000 0.000
Li2 0.250 0.250 0.000
Cr1 0.000 0.500 0.500
Ni1 0.000 0.000 0.500
Ni2 0.250 0.250 0.500
O1 0.000 0.239 0.278
O2 0.225 0.000 0.699
O3 0.232 0.500 0.722

Principal peaks in the range 5 to 70 degrees two-theta, by angle:
2theta	I_rel	h k l
18.40	100	0 0 1
35.84	14	4 0 -1
36.43	25	2 2 -1
37.91	8	2 2 0
43.25	22	4 0 0
44.12	41	2 2 -2
47.85	8	2 2 1
58.06	10	2 2 -3
63.19	11	2 2 2
63.81	11	6 2 -2

Copy entry 2 word for word.
Li3CrNi3O8: simulated PXRD pattern (Cu Kα, 1.54184 Å), based on a GGA+U-relaxed structure.

Cell and atoms:
Cell lengths 10.150, 5.763, 5.850 Å; angles 90.00, 124.48, 90.00 degrees
Space group C2/m (No. 12)
Asymmetric unit:
Li1 0.000 0.000 0.000
Li2 0.250 0.250 0.000
Cr1 0.000 0.500 0.500
Ni1 0.000 0.000 0.500
Ni2 0.250 0.250 0.500
O1 0.000 0.239 0.278
O2 0.225 0.000 0.699
O3 0.232 0.500 0.722

Principal peaks in the range 5 to 70 degrees two-theta, by angle:
2theta	I_rel	h k l
18.40	100	0 0 1
35.84	14	4 0 -1
36.43	25	2 2 -1
37.91	8	2 2 0
43.25	22	4 0 0
44.12	41	2 2 -2
47.85	8	2 2 1
58.06	10	2 2 -3
63.19	11	2 2 2
63.81	11	6 2 -2

Repeat the first record exactly.
Li2Cr3NiO8: simulated PXRD pattern (Cu Kα, 1.54184 Å), based on a GGA+U-relaxed structure.

Cell and atoms:
Cell lengths 8.309, 8.336, 8.389 Å; angles 89.89, 89.84, 89.68 degrees
Space group P1 (No. 1)
Asymmetric unit:
Li1 0.000 0.000 0.000
Li2 0.001 0.500 0.498
Li3 0.246 0.250 0.748
Li4 0.251 0.753 0.252
Li5 0.497 0.999 0.500
Li6 0.499 0.499 0.000
Li7 0.745 0.252 0.250
Li8 0.749 0.753 0.750
Cr1 0.120 0.120 0.378
Cr2 0.124 0.371 0.121
Cr3 0.126 0.873 0.630
Cr4 0.372 0.373 0.378
Cr5 0.375 0.875 0.871
Cr6 0.378 0.622 0.628
Cr7 0.618 0.121 0.875
Cr8 0.625 0.875 0.127
Cr9 0.628 0.622 0.372
Cr10 0.866 0.371 0.874
Cr11 0.869 0.122 0.627
Cr12 0.874 0.623 0.117
Ni1 0.124 0.626 0.875
Ni2 0.376 0.125 0.125
Ni3 0.625 0.378 0.623
Ni4 0.872 0.877 0.375
O1 0.104 0.603 0.131
O2 0.105 0.376 0.897
O3 0.108 0.110 0.615
O4 0.125 0.897 0.394
O5 0.133 0.359 0.356
O6 0.136 0.873 0.853
O7 0.143 0.646 0.620
O8 0.144 0.138 0.138
O9 0.354 0.147 0.380
O10 0.362 0.359 0.142
O11 0.363 0.859 0.635
O12 0.370 0.635 0.856
O13 0.375 0.391 0.607
O14 0.389 0.607 0.383
O15 0.390 0.895 0.113
O16 0.396 0.117 0.876
O17 0.605 0.113 0.114
O18 0.606 0.627 0.608
O19 0.608 0.394 0.381
O20 0.618 0.855 0.354
O21 0.618 0.891 0.894
O22 0.640 0.636 0.134
O23 0.641 0.356 0.872
O24 0.645 0.126 0.639
O25 0.853 0.625 0.354
O26 0.854 0.133 0.865
O27 0.854 0.860 0.127
O28 0.873 0.608 0.894
O29 0.882 0.356 0.649
O30 0.885 0.383 0.106
O31 0.889 0.894 0.618
O32 0.893 0.128 0.390

Principal peaks in the range 5 to 70 degrees two-theta, by angle:
2theta	I_rel	h k l
18.40	100	1 1 1
18.46	31	-1 1 1
35.55	21	-1 1 3
35.68	16	3 1 1
35.79	20	3 -1 1
43.13	24	0 0 4
43.43	24	0 4 0
43.57	23	4 0 0
62.84	14	0 4 4
62.97	14	0 4 -4